1.
The following is a simulated powder diffractogram of Re3IO12. It was derived from the PBE geometry in Alexandria, using Cu Kα.

Crystal structure
Unit cell a=8.8234 b=8.8234 c=33.8143 alpha=90.00 beta=90.00 gamma=120.00
Space group R3c (No. 161, hexagonal axes)
Symmetry-distinct sites (fractional):
Re  0.0466  0.3553  0.0000 [18 per cell]
I  0.0000  0.0000  0.4248 [6 per cell]
O  0.0647  0.5229  0.9702 [18 per cell]
O  0.0715  0.4983  0.3508 [18 per cell]
O  0.0946  0.2100  0.9721 [18 per cell]
O  0.1932  0.4429  0.0407 [18 per cell]

Main lines, by angle (10 to 90 degrees two-theta):
| 2theta | Rel. int. |
| --- | --- |
| 12.71 | 38 |
| 15.72 | 46 |
| 21.63 | 100 |
| 25.63 | 62 |
| 31.27 | 36 |
| 35.24 | 16 |
| 38.80 | 10 |
| 45.17 | 12 |
| 48.16 | 19 |
| 61.30 | 10 |

***

2.
The following is a simulated powder diffractogram of Th8BiSe6. It was derived from the PBE geometry in Alexandria, using Cu Kα.

Crystal structure
Unit cell a=10.9758 b=10.9758 c=4.1287 alpha=90.00 beta=90.00 gamma=120.00
Space group P-3 (No. 147)
Symmetry-distinct sites (fractional):
Th  0.0438  0.3231  0.2460 [6 per cell]
Th  0.3333  0.6667  0.7517 [2 per cell]
Bi  0.0000  0.0000  0.0000 [1 per cell]
Se  0.1259  0.6373  0.2516 [6 per cell]

Main lines, by angle (10 to 90 degrees two-theta):
| 2theta | Rel. int. |
| --- | --- |
| 27.03 | 77 |
| 28.16 | 100 |
| 28.64 | 64 |
| 33.05 | 75 |
| 34.01 | 50 |
| 39.43 | 49 |
| 43.86 | 20 |
| 47.13 | 46 |
| 52.99 | 39 |
| 73.40 | 33 |

***

3.
The following is a simulated powder diffractogram of Ag3Sn2Br8. It was derived from the PBE geometry in Alexandria, using Cu Kα.

Crystal structure
Unit cell a=15.8852 b=8.3248 c=7.0071 alpha=90.00 beta=114.50 gamma=90.00
Space group C2/m (No. 12)
Symmetry-distinct sites (fractional):
Ag  0.0000  0.0000  0.0000 [2 per cell]
Ag  0.0000  0.2526  0.5000 [4 per cell]
Sn  0.2096  0.5000  0.1901 [4 per cell]
Br  0.1060  0.0000  0.4224 [4 per cell]
Br  0.1155  0.2444  0.9383 [8 per cell]
Br  0.1181  0.5000  0.4418 [4 per cell]

Main lines, by angle (10 to 90 degrees two-theta):
| 2theta | Rel. int. |
| --- | --- |
| 12.25 | 38 |
| 20.41 | 40 |
| 20.85 | 40 |
| 21.31 | 37 |
| 25.74 | 69 |
| 31.36 | 100 |
| 35.16 | 46 |
| 39.79 | 84 |
| 43.48 | 44 |
| 44.79 | 57 |

***

4.
The following is a simulated powder diffractogram of EuMgH4. It was derived from the PBE geometry in Alexandria, using Cu Kα.

Crystal structure
Unit cell a=3.8435 b=12.9134 c=5.5345 alpha=90.00 beta=90.00 gamma=90.00
Space group Cmc2_1 (No. 36)
Symmetry-distinct sites (fractional):
Eu  0.0000  0.1514  0.0000 [4 per cell]
Mg  0.0000  0.4168  0.9499 [4 per cell]
H  0.0000  0.0625  0.3959 [4 per cell]
H  0.0000  0.2964  0.7447 [4 per cell]
H  0.0000  0.3303  0.2282 [4 per cell]
H  0.0000  0.4525  0.5931 [4 per cell]

Main lines, by angle (10 to 90 degrees two-theta):
| 2theta | Rel. int. |
| --- | --- |
| 21.14 | 88 |
| 24.16 | 18 |
| 27.63 | 27 |
| 29.12 | 100 |
| 31.20 | 47 |
| 32.10 | 28 |
| 32.35 | 31 |
| 45.37 | 33 |
| 45.56 | 35 |
| 55.70 | 23 |

***

5.
The following is a simulated powder diffractogram of Pr4NdEr3S8. It was derived from the PBE geometry in Alexandria, using Cu Kα.

Crystal structure
Unit cell a=7.9528 b=7.9528 c=20.0498 alpha=90.00 beta=90.00 gamma=120.00
Space group R-3m (No. 166, hexagonal axes)
Symmetry-distinct sites (fractional):
Pr  0.0000  0.0000  0.0000 [3 per cell]
Pr  0.0000  0.5000  0.0000 [9 per cell]
Nd  0.0000  0.0000  0.5000 [3 per cell]
Er  0.0000  0.5000  0.5000 [9 per cell]
S  0.0000  0.0000  0.2421 [6 per cell]
S  0.0093  0.5046  0.7560 [18 per cell]

Main lines, by angle (10 to 90 degrees two-theta):
| 2theta | Rel. int. |
| --- | --- |
| 26.68 | 21 |
| 27.38 | 58 |
| 31.52 | 100 |
| 44.72 | 37 |
| 45.63 | 35 |
| 53.64 | 20 |
| 56.51 | 18 |
| 74.13 | 16 |
| 75.46 | 16 |
| 83.73 | 12 |

***

6.
The following is a simulated powder diffractogram of Pr8Sm5Cd. It was derived from the PBE geometry in Alexandria, using Cu Kα.

Crystal structure
Unit cell a=15.7805 b=8.5932 c=8.6540 alpha=90.00 beta=122.43 gamma=90.00
Space group C2 (No. 5)
Symmetry-distinct sites (fractional):
Pr  0.1230  0.0000  0.1819 [4 per cell]
Pr  0.1678  0.4043  0.2076 [4 per cell]
Pr  0.1822  0.6965  0.9180 [4 per cell]
Pr  0.1904  0.2241  0.5743 [4 per cell]
Sm  0.0000  0.9517  0.5000 [2 per cell]
Sm  0.0481  0.2889  0.7638 [4 per cell]
Sm  0.0964  0.6242  0.4511 [4 per cell]
Cd  0.0000  0.6688  0.0000 [2 per cell]

Main lines, by angle (10 to 90 degrees two-theta):
| 2theta | Rel. int. |
| --- | --- |
| 24.08 | 28 |
| 29.29 | 33 |
| 30.47 | 78 |
| 30.70 | 100 |
| 30.85 | 51 |
| 31.84 | 47 |
| 31.96 | 32 |
| 32.17 | 23 |
| 32.94 | 21 |
| 56.15 | 18 |

***

7.
The following is a simulated powder diffractogram of ZnCoRu2. It was derived from the PBE geometry in Alexandria, using Cu Kα.

Crystal structure
Unit cell a=8.7200 b=2.6664 c=4.6115 alpha=90.00 beta=100.83 gamma=90.00
Space group C2/m (No. 12)
Symmetry-distinct sites (fractional):
Zn  0.0000  0.0000  0.0000 [2 per cell]
Co  0.0000  0.5000  0.5000 [2 per cell]
Ru  0.2391  0.0000  0.7378 [4 per cell]

Main lines, by angle (10 to 90 degrees two-theta):
| 2theta | Rel. int. |
| --- | --- |
| 20.74 | 14 |
| 41.45 | 51 |
| 41.66 | 100 |
| 42.21 | 47 |
| 48.43 | 64 |
| 48.90 | 30 |
| 70.72 | 29 |
| 71.81 | 17 |
| 85.85 | 17 |
| 86.46 | 21 |

***

8.
The following is a simulated powder diffractogram of CdHgN. It was derived from the PBE geometry in Alexandria, using Cu Kα.

Crystal structure
Unit cell a=12.6963 b=3.9654 c=7.8812 alpha=90.00 beta=93.41 gamma=90.00
Space group P2_1/c (No. 14)
Symmetry-distinct sites (fractional):
Cd  0.0726  0.2500  0.3813 [4 per cell]
Hg  0.1846  0.7501  0.1420 [4 per cell]
N  0.4853  0.5771  0.0527 [4 per cell]

Main lines, by angle (10 to 90 degrees two-theta):
| 2theta | Rel. int. |
| --- | --- |
| 21.03 | 38 |
| 23.51 | 31 |
| 24.08 | 19 |
| 30.93 | 29 |
| 32.04 | 100 |
| 32.54 | 39 |
| 35.30 | 29 |
| 36.29 | 59 |
| 37.49 | 28 |
| 46.32 | 21 |

***

9.
The following is a simulated powder diffractogram of TeW2Se3. It was derived from the PBE geometry in Alexandria, using Cu Kα.

Crystal structure
Unit cell a=3.3765 b=3.3765 c=28.8333 alpha=90.00 beta=90.00 gamma=120.00
Space group P3m1 (No. 156)
Symmetry-distinct sites (fractional):
Te  0.0000  0.0000  0.0000 [1 per cell]
Te  0.0000  0.0000  0.1313 [1 per cell]
W  0.0000  0.0000  0.3205 [1 per cell]
W  0.0000  0.0000  0.8097 [1 per cell]
W  0.3333  0.6667  0.0657 [1 per cell]
W  0.3333  0.6667  0.5657 [1 per cell]
Se  0.0000  0.0000  0.5080 [1 per cell]
Se  0.0000  0.0000  0.6233 [1 per cell]
Se  0.3333  0.6667  0.2628 [1 per cell]
Se  0.3333  0.6667  0.3782 [1 per cell]
Se  0.3333  0.6667  0.7521 [1 per cell]
Se  0.3333  0.6667  0.8674 [1 per cell]

Main lines, by angle (10 to 90 degrees two-theta):
| 2theta | Rel. int. |
| --- | --- |
| 12.28 | 100 |
| 30.57 | 33 |
| 33.06 | 15 |
| 35.95 | 84 |
| 44.11 | 53 |
| 54.34 | 26 |
| 55.94 | 13 |
| 66.89 | 14 |
| 72.48 | 12 |
| 77.47 | 14 |

***

10.
The following is a simulated powder diffractogram of TbH11Rh5. It was derived from the PBE geometry in Alexandria, using Cu Kα.

Crystal structure
Unit cell a=7.3294 b=7.7905 c=5.3855 alpha=90.00 beta=110.01 gamma=90.00
Space group C2/m (No. 12)
Symmetry-distinct sites (fractional):
Tb  0.0000  0.0000  0.0000 [2 per cell]
H  0.0000  0.0000  0.5000 [2 per cell]
H  0.0887  0.2460  0.3541 [8 per cell]
H  0.1821  0.3658  0.9366 [8 per cell]
H  0.1948  0.5000  0.3175 [4 per cell]
Rh  0.0000  0.5000  0.0000 [2 per cell]
Rh  0.1757  0.1970  0.7081 [8 per cell]

Main lines, by angle (10 to 90 degrees two-theta):
| 2theta | Rel. int. |
| --- | --- |
| 17.19 | 16 |
| 17.53 | 15 |
| 28.93 | 47 |
| 34.76 | 100 |
| 36.19 | 87 |
| 39.14 | 26 |
| 42.61 | 40 |
| 49.76 | 20 |
| 58.59 | 13 |
| 60.42 | 12 |